(1)
Structure and calculated powder X-ray diffraction pattern of La2SbO2 (the GGA-PBE geometry in the Materials Project; Cu Kα (λ = 1.5418 Å)).
Neutral-atom scattering factors, no anomalous dispersion.

Principal peaks in the range 5 to 70 degrees two-theta, by intensity:
2θ (°)  I_rel
29.10  100
31.07  35
54.06  35
50.31  25
64.02  10
38.55  10
44.43  9
44.58  9
64.77  6
60.25  5

a b c (Å): 7.5749 7.5749 7.5749
angles (deg): 148.77 44.67 148.87
Fractional coordinates of all 5 atoms:
La 0.1627 0.0000 0.1627
La 0.8373 0.0000 0.8373
Sb 0.4847 0.9847 0.5000
O 0.2510 0.5011 0.7499
O 0.7512 0.5011 0.2501

=====

(2)
Structure and calculated powder X-ray diffraction pattern of La2SbO6 (the GGA-PBE geometry in the Materials Project; Cu Kα (λ = 1.5418 Å)).
Neutral-atom scattering factors, no anomalous dispersion.

Principal peaks in the range 5 to 70 degrees two-theta, by intensity:
2θ (°)  I_rel
29.46  100
31.77  89
17.97  80
35.00  44
19.80  44
30.95  42
30.67  32
28.54  30
22.96  28
47.33  25

a b c (Å): 5.8084 6.2561 9.4637
angles (deg): 90.00 121.88 90.00
Fractional coordinates of all 18 atoms:
La 0.2074 0.0816 0.2437
La 0.2074 0.4184 0.7437
La 0.7926 0.5816 0.2563
La 0.7926 0.9184 0.7563
Sb 0.5000 0.0000 0.0000
Sb 0.5000 0.5000 0.5000
O 0.1592 0.1548 0.9422
O 0.1592 0.3452 0.4422
O 0.2807 0.7263 0.9224
O 0.2807 0.7737 0.4224
O 0.4231 0.0646 0.7734
O 0.4231 0.4354 0.2734
O 0.5769 0.5646 0.7266
O 0.5769 0.9354 0.2266
O 0.7193 0.2263 0.5776
O 0.7193 0.2737 0.0776
O 0.8408 0.6548 0.5578
O 0.8408 0.8452 0.0578

=====

(3)
Structure and calculated powder X-ray diffraction pattern of La3Sb5O12 (the GGA-PBE geometry in the Materials Project; Cu Kα (λ = 1.5418 Å)).
Neutral-atom scattering factors, no anomalous dispersion.

Principal peaks in the range 5 to 70 degrees two-theta, by intensity:
2θ (°)  I_rel
27.28  100
45.30  43
53.69  39
31.60  35
11.05  11
56.28  9
66.00  6
60.04  4
37.24  3
52.36  3

a b c (Å): 9.8070 9.8070 9.8070
angles (deg): 109.47 109.47 109.47
Fractional coordinates of all 40 atoms:
La 0.2500 0.5000 0.7500
La 0.2500 0.7500 0.5000
La 0.5000 0.2500 0.7500
La 0.5000 0.7500 0.2500
La 0.7500 0.2500 0.5000
La 0.7500 0.5000 0.2500
Sb 0.0000 0.0000 0.4988
Sb 0.0000 0.2818 0.2818
Sb 0.0000 0.4988 0.0000
Sb 0.0000 0.7182 0.7182
Sb 0.2818 0.0000 0.2818
Sb 0.2818 0.2818 0.0000
Sb 0.4988 0.0000 0.0000
Sb 0.5012 0.5012 0.5012
Sb 0.7182 0.0000 0.7182
Sb 0.7182 0.7182 0.0000
O 0.0000 0.2933 0.4879
O 0.0000 0.4879 0.2933
O 0.0000 0.5304 0.8051
O 0.0000 0.8051 0.5304
O 0.1949 0.1949 0.7254
O 0.1947 0.7067 0.7067
O 0.1949 0.7254 0.1949
O 0.2746 0.4696 0.4696
O 0.2933 0.0000 0.4879
O 0.2933 0.4879 0.0000
O 0.4696 0.2746 0.4696
O 0.4696 0.4696 0.2746
O 0.4879 0.0000 0.2933
O 0.4879 0.2933 0.0000
O 0.5121 0.5121 0.8053
O 0.5121 0.8053 0.5121
O 0.5304 0.0000 0.8051
O 0.5304 0.8051 0.0000
O 0.7067 0.1947 0.7067
O 0.7067 0.7067 0.1947
O 0.7254 0.1949 0.1949
O 0.8051 0.0000 0.5304
O 0.8053 0.5121 0.5121
O 0.8051 0.5304 0.0000

=====

(4)
Structure and calculated powder X-ray diffraction pattern of LaSbO4 (the GGA-PBE geometry in the Materials Project; Cu Kα (λ = 1.5418 Å)).
Neutral-atom scattering factors, no anomalous dispersion.

Principal peaks in the range 5 to 70 degrees two-theta, by intensity:
2θ (°)  I_rel
24.46  100
25.11  76
32.65  61
27.30  38
45.59  37
25.43  37
48.61  34
48.71  31
33.02  30
30.86  27

a b c (Å): 5.4392 5.1588 13.7186
angles (deg): 90.00 109.21 90.00
Fractional coordinates of all 24 atoms:
La 0.1572 0.1957 0.1645
La 0.1572 0.3043 0.6645
La 0.8428 0.6957 0.3355
La 0.8428 0.8043 0.8355
Sb 0.4176 0.2483 0.4307
Sb 0.4176 0.2517 0.9307
Sb 0.5824 0.7483 0.0693
Sb 0.5824 0.7517 0.5693
O 0.0886 0.1148 0.3321
O 0.0886 0.3852 0.8321
O 0.2524 0.5599 0.4746
O 0.2524 0.9401 0.9746
O 0.3609 0.0700 0.5562
O 0.3609 0.4300 0.0562
O 0.4880 0.0992 0.8117
O 0.4880 0.4008 0.3117
O 0.5120 0.5992 0.6883
O 0.5120 0.9008 0.1883
O 0.6391 0.5700 0.9438
O 0.6391 0.9300 0.4438
O 0.7476 0.0599 0.0254
O 0.7476 0.4401 0.5254
O 0.9114 0.6148 0.1679
O 0.9114 0.8852 0.6679

=====

(5)
Structure and calculated powder X-ray diffraction pattern of La9Sb5O5 (the GGA-PBE geometry in the Materials Project; Cu Kα (λ = 1.5418 Å)).
Neutral-atom scattering factors, no anomalous dispersion.

Principal peaks in the range 5 to 70 degrees two-theta, by intensity:
2θ (°)  I_rel
28.54  100
33.09  60
38.44  41
48.54  33
26.92  30
56.27  17
63.54  14
39.60  13
55.49  12
47.45  11

a b c (Å): 10.4731 10.4731 9.3978
angles (deg): 90.00 90.00 90.00
Fractional coordinates of all 38 atoms:
La 0.0221 0.3307 0.0021
La 0.0463 0.8536 0.6564
La 0.1464 0.5463 0.3436
La 0.1693 0.0221 0.0021
La 0.2500 0.2500 0.6706
La 0.3307 0.4779 0.0021
La 0.3536 0.9537 0.3436
La 0.4537 0.6464 0.6564
La 0.4779 0.1693 0.0021
La 0.5221 0.8307 0.9979
La 0.5463 0.3536 0.3436
La 0.6464 0.0463 0.6564
La 0.6693 0.5221 0.9979
La 0.7500 0.7500 0.3294
La 0.8307 0.9779 0.9979
La 0.8536 0.4537 0.6564
La 0.9537 0.1464 0.3436
La 0.9779 0.6693 0.9979
Sb 0.0526 0.8474 0.2983
Sb 0.1526 0.5526 0.7017
Sb 0.2500 0.2500 0.3100
Sb 0.3474 0.9474 0.7017
Sb 0.4474 0.6526 0.2983
Sb 0.5526 0.3474 0.7017
Sb 0.6526 0.0526 0.2983
Sb 0.7500 0.7500 0.6900
Sb 0.8474 0.4474 0.2983
Sb 0.9474 0.1526 0.7017
O 0.0261 0.8708 0.9092
O 0.1292 0.5261 0.0908
O 0.2500 0.2500 0.9276
O 0.3708 0.9739 0.0908
O 0.4739 0.6292 0.9092
O 0.5261 0.3708 0.0908
O 0.6292 0.0261 0.9092
O 0.7500 0.7500 0.0724
O 0.8708 0.4739 0.9092
O 0.9739 0.1292 0.0908

=====

(6)
Structure and calculated powder X-ray diffraction pattern of Sr2LaSbO6 (the GGA-PBE geometry in the Materials Project; Cu Kα (λ = 1.5418 Å)).
Neutral-atom scattering factors, no anomalous dispersion.

Principal peaks in the range 5 to 70 degrees two-theta, by intensity:
2θ (°)  I_rel
29.46  100
29.78  99
42.30  50
29.25  46
29.88  44
52.39  35
53.18  33
20.81  27
42.46  26
52.58  22

a b c (Å): 5.9809 6.1074 10.3334
angles (deg): 90.00 124.50 90.00
Fractional coordinates of all 20 atoms:
Sr 0.2326 0.0429 0.2493
Sr 0.2326 0.4571 0.7493
Sr 0.7674 0.5429 0.2507
Sr 0.7674 0.9571 0.7507
La 0.5000 0.0000 0.0000
La 0.5000 0.5000 0.5000
Sb 0.0000 0.0000 0.5000
Sb 0.0000 0.5000 0.0000
O 0.1282 0.2343 0.9386
O 0.1282 0.2657 0.4386
O 0.2136 0.6975 0.9491
O 0.2136 0.8025 0.4491
O 0.3285 0.0392 0.7258
O 0.3285 0.4608 0.2258
O 0.6715 0.5392 0.7742
O 0.6715 0.9608 0.2742
O 0.7864 0.1975 0.5509
O 0.7864 0.3025 0.0509
O 0.8718 0.7343 0.5614
O 0.8718 0.7657 0.0614

=====

Number 3 is which compound?
La3Sb5O12

=====

Number 3 is which compound?
La3Sb5O12